This entry pairs a crystal structure of GdGaNi with its calculated X-ray diffraction stick pattern. Radiation: Cu Kα (weighted mean of Kα1 and Kα2). Structure: the GGA-PBE geometry in Alexandria.

Cell: 4.2556 4.2556 3.7046 Å, 90.00 90.00 120.00°
Atoms (fractional coordinates):
Gd 0.0000 0.0000 0.0000
Ga 0.3333 0.6667 0.5000
Ni 0.6667 0.3333 0.5000

Largest 9 diffraction maxima, by angle, 5 to 70 degrees two-theta:
| two_theta | d [Å] | I (rel.) |
| --- | --- | --- |
| 24.1 | 3.685 | 18 |
| 34.3 | 2.613 | 100 |
| 42.5 | 2.128 | 47 |
| 49.2 | 1.852 | 10 |
| 49.5 | 1.843 | 3 |
| 55.5 | 1.655 | 4 |
| 55.7 | 1.650 | 25 |
| 67.0 | 1.397 | 24 |
| 67.2 | 1.393 | 2 |


This entry pairs a crystal structure of GdZrGaPd with its calculated X-ray diffraction stick pattern. Radiation: Cu Kα (weighted mean of Kα1 and Kα2). Structure: the GGA-PBE geometry in Alexandria.

Cell: 4.9181 4.9181 4.9181 Å, 60.00 60.00 60.00°
Atoms (fractional coordinates):
Gd 0.0000 0.0000 0.0000
Zr 0.5000 0.5000 0.5000
Ga 0.7500 0.7500 0.7500
Pd 0.2500 0.2500 0.2500

Largest 9 diffraction maxima, by angle, 5 to 70 degrees two-theta:
| two_theta | d [Å] | I (rel.) |
| --- | --- | --- |
| 22.1 | 4.016 | 6 |
| 25.6 | 3.478 | 3 |
| 36.5 | 2.459 | 100 |
| 43.1 | 2.097 | 3 |
| 45.2 | 2.008 | 1 |
| 52.6 | 1.739 | 17 |
| 57.8 | 1.596 | 2 |
| 59.4 | 1.555 | 1 |
| 65.8 | 1.420 | 35 |


This entry pairs a crystal structure of Pr2GdGa with its calculated X-ray diffraction stick pattern. Radiation: Cu Kα (weighted mean of Kα1 and Kα2). Structure: the GGA-PBE geometry in Alexandria.

Cell: 5.4776 5.4776 5.4776 Å, 60.00 60.00 60.00°
Atoms (fractional coordinates):
Pr 0.2500 0.2500 0.2500
Pr 0.7500 0.7500 0.7500
Gd 0.0000 0.0000 0.0000
Ga 0.5000 0.5000 0.5000

Largest 10 diffraction maxima, by angle, 5 to 70 degrees two-theta:
| two_theta | d [Å] | I (rel.) |
| --- | --- | --- |
| 19.9 | 4.472 | 6 |
| 23.0 | 3.873 | 1 |
| 32.7 | 2.739 | 100 |
| 38.5 | 2.336 | 3 |
| 46.9 | 1.937 | 18 |
| 51.4 | 1.777 | 1 |
| 52.9 | 1.732 | 1 |
| 58.4 | 1.581 | 38 |
| 62.3 | 1.491 | 1 |
| 68.5 | 1.369 | 12 |


This entry pairs a crystal structure of Gd4GaSbS9 with its calculated X-ray diffraction stick pattern. Radiation: Cu Kα (weighted mean of Kα1 and Kα2). Structure: the GGA-PBE geometry in Alexandria.

Cell: 13.6377 10.0014 10.0014 Å, 88.61 90.00 90.00°
Atoms (fractional coordinates):
Gd 0.0995 0.1728 0.8272
Gd 0.1047 0.6570 0.4374
Gd 0.1856 0.4463 0.1157
Gd 0.1881 0.8988 0.1177
Gd 0.3119 0.3988 0.6177
Gd 0.3144 0.9463 0.6157
Gd 0.3953 0.1570 0.9374
Gd 0.4005 0.6728 0.3272
Gd 0.5995 0.3272 0.6728
Gd 0.6047 0.9374 0.1570
Gd 0.6856 0.6157 0.9463
Gd 0.6881 0.6177 0.3988
Gd 0.8119 0.1177 0.8988
Gd 0.8144 0.1157 0.4463
Gd 0.8953 0.4374 0.6570
Gd 0.9005 0.8272 0.1728
Ga 0.0908 0.1659 0.3771
Ga 0.4092 0.6659 0.8771
Ga 0.5908 0.8771 0.6659
Ga 0.9092 0.3771 0.1659
Sb 0.1130 0.6519 0.8160
Sb 0.3870 0.1519 0.3160
Sb 0.6130 0.3160 0.1519
Sb 0.8870 0.8160 0.6519
S 0.0000 0.3633 0.3633
S 0.0000 0.9953 0.9953
S 0.0125 0.3745 0.9850
S 0.0700 0.6783 0.1699
S 0.0821 0.8359 0.6502
S 0.0993 0.4699 0.6527
S 0.1892 0.1679 0.5653
S 0.1982 0.1700 0.1976
S 0.2450 0.8461 0.3805
S 0.2460 0.9870 0.8706
S 0.2540 0.4870 0.3706
S 0.2550 0.3461 0.8805
S 0.3018 0.6700 0.6976
S 0.3108 0.6679 0.0653
S 0.4007 0.9699 0.1527
S 0.4179 0.3359 0.1502
S 0.4300 0.1783 0.6699
S 0.4875 0.8745 0.4850
S 0.5000 0.4953 0.4953
S 0.5000 0.8633 0.8633
S 0.5125 0.4850 0.8745
S 0.5700 0.6699 0.1783
S 0.5821 0.1502 0.3359
S 0.5993 0.1527 0.9699
S 0.6892 0.0653 0.6679
S 0.6982 0.6976 0.6700
S 0.7450 0.8805 0.3461
S 0.7460 0.3706 0.4870
S 0.7540 0.8706 0.9870
S 0.7550 0.3805 0.8461
S 0.8018 0.1976 0.1700
S 0.8108 0.5653 0.1679
S 0.9007 0.6527 0.4699
S 0.9179 0.6502 0.8359
S 0.9300 0.1699 0.6783
S 0.9875 0.9850 0.3745

Largest 10 diffraction maxima, by angle, 5 to 70 degrees two-theta:
| two_theta | d [Å] | I (rel.) |
| --- | --- | --- |
| 24.9 | 3.579 | 60 |
| 25.5 | 3.493 | 29 |
| 26.5 | 3.363 | 100 |
| 27.6 | 3.232 | 29 |
| 29.8 | 2.994 | 26 |
| 33.3 | 2.688 | 46 |
| 34.1 | 2.631 | 28 |
| 35.9 | 2.500 | 41 |
| 41.7 | 2.166 | 25 |
| 50.3 | 1.816 | 45 |


This entry pairs a crystal structure of GaGe with its calculated X-ray diffraction stick pattern. Radiation: Cu Kα (weighted mean of Kα1 and Kα2). Structure: the GGA-PBE geometry in Alexandria.

Cell: 3.8176 3.8176 3.8176 Å, 60.00 60.00 60.00°
Atoms (fractional coordinates):
Ga 0.0000 0.0000 0.0000
Ge 0.5000 0.5000 0.5000

Largest 4 diffraction maxima, by angle, 5 to 70 degrees two-theta:
| two_theta | d [Å] | I (rel.) |
| --- | --- | --- |
| 33.2 | 2.699 | 100 |
| 47.6 | 1.909 | 71 |
| 59.3 | 1.559 | 24 |
| 69.7 | 1.350 | 11 |


This entry pairs a crystal structure of GaGe with its calculated X-ray diffraction stick pattern. Radiation: Cu Kα (weighted mean of Kα1 and Kα2). Structure: the GGA-PBE geometry in Alexandria.

Cell: 9.9509 9.9509 4.1593 Å, 90.00 90.00 120.00°
Atoms (fractional coordinates):
Ga 0.1117 0.4206 0.2500
Ga 0.3089 0.8883 0.2500
Ga 0.4206 0.3089 0.7500
Ga 0.5794 0.6911 0.2500
Ga 0.6911 0.1117 0.7500
Ga 0.8883 0.5794 0.7500
Ge 0.0487 0.6498 0.2500
Ge 0.3502 0.3989 0.2500
Ge 0.3989 0.0487 0.7500
Ge 0.6011 0.9513 0.2500
Ge 0.6498 0.6011 0.7500
Ge 0.9513 0.3502 0.7500

Largest 10 diffraction maxima, by angle, 5 to 70 degrees two-theta:
| two_theta | d [Å] | I (rel.) |
| --- | --- | --- |
| 10.3 | 8.618 | 67 |
| 17.8 | 4.975 | 100 |
| 23.8 | 3.746 | 61 |
| 27.4 | 3.257 | 27 |
| 29.9 | 2.993 | 39 |
| 31.1 | 2.873 | 29 |
| 35.0 | 2.564 | 35 |
| 43.5 | 2.080 | 28 |
| 43.7 | 2.072 | 46 |
| 47.5 | 1.913 | 68 |


This entry pairs a crystal structure of K2GaGeH with its calculated X-ray diffraction stick pattern. Radiation: Cu Kα (weighted mean of Kα1 and Kα2). Structure: the GGA-PBE geometry in Alexandria.

Cell: 6.9774 4.2377 10.1776 Å, 90.00 109.27 90.00°
Atoms (fractional coordinates):
K 0.2139 0.2500 0.4126
K 0.2690 0.7500 0.0459
K 0.7310 0.2500 0.9541
K 0.7861 0.7500 0.5874
Ga 0.2213 0.2500 0.7628
Ga 0.7787 0.7500 0.2372
Ge 0.3622 0.7500 0.7124
Ge 0.6378 0.2500 0.2876
H 0.0386 0.2500 0.8434
H 0.9614 0.7500 0.1566

Largest 10 diffraction maxima, by angle, 5 to 70 degrees two-theta:
| two_theta | d [Å] | I (rel.) |
| --- | --- | --- |
| 13.6 | 6.530 | 100 |
| 18.5 | 4.804 | 41 |
| 18.7 | 4.750 | 50 |
| 26.6 | 3.347 | 50 |
| 27.1 | 3.293 | 55 |
| 28.1 | 3.178 | 47 |
| 28.2 | 3.162 | 49 |
| 34.1 | 2.627 | 48 |
| 34.7 | 2.586 | 49 |
| 35.0 | 2.566 | 56 |


This entry pairs a crystal structure of HfGaGe with its calculated X-ray diffraction stick pattern. Radiation: Cu Kα (weighted mean of Kα1 and Kα2). Structure: the GGA-PBE geometry in Alexandria.

Cell: 7.6382 7.6382 3.8192 Å, 90.00 90.00 150.97°
Atoms (fractional coordinates):
Hf 0.0965 0.9035 0.7500
Hf 0.9035 0.0965 0.2500
Ga 0.2485 0.7515 0.2500
Ga 0.7515 0.2485 0.7500
Ge 0.4319 0.5681 0.7500
Ge 0.5681 0.4319 0.2500

Largest 10 diffraction maxima, by angle, 5 to 70 degrees two-theta:
| two_theta | d [Å] | I (rel.) |
| --- | --- | --- |
| 24.0 | 3.703 | 13 |
| 26.3 | 3.393 | 15 |
| 36.5 | 2.465 | 24 |
| 38.0 | 2.371 | 100 |
| 38.5 | 2.341 | 8 |
| 47.5 | 1.914 | 14 |
| 47.6 | 1.910 | 14 |
| 61.4 | 1.511 | 25 |
| 66.6 | 1.405 | 15 |
| 69.5 | 1.352 | 9 |


This entry pairs a crystal structure of HfGa2Ge2 with its calculated X-ray diffraction stick pattern. Radiation: Cu Kα (weighted mean of Kα1 and Kα2). Structure: the GGA-PBE geometry in Alexandria.

Cell: 7.1638 7.1638 3.5876 Å, 90.00 90.00 90.00°
Atoms (fractional coordinates):
Hf 0.0000 0.0000 0.0000
Hf 0.5000 0.5000 0.0000
Ga 0.1274 0.3726 0.0000
Ga 0.3726 0.8726 0.0000
Ga 0.6274 0.1274 0.0000
Ga 0.8726 0.6274 0.0000
Ge 0.1723 0.6723 0.5000
Ge 0.3277 0.1723 0.5000
Ge 0.6723 0.8277 0.5000
Ge 0.8277 0.3277 0.5000

Largest 10 diffraction maxima, by angle, 5 to 70 degrees two-theta:
| two_theta | d [Å] | I (rel.) |
| --- | --- | --- |
| 24.8 | 3.586 | 30 |
| 30.5 | 2.928 | 31 |
| 35.4 | 2.534 | 100 |
| 37.6 | 2.390 | 87 |
| 39.8 | 2.265 | 83 |
| 47.5 | 1.915 | 32 |
| 50.9 | 1.794 | 22 |
| 57.5 | 1.602 | 17 |
| 63.6 | 1.463 | 19 |
| 66.5 | 1.406 | 43 |


This entry pairs a crystal structure of Hf2Ga3Ge with its calculated X-ray diffraction stick pattern. Radiation: Cu Kα (weighted mean of Kα1 and Kα2). Structure: the GGA-PBE geometry in Alexandria.

Cell: 6.3939 6.3939 10.1448 Å, 103.87 103.87 34.26°
Atoms (fractional coordinates):
Hf 0.0205 0.0205 0.3390
Hf 0.2636 0.2636 0.6377
Hf 0.7364 0.7364 0.3623
Hf 0.9795 0.9795 0.6610
Ga 0.1654 0.1654 0.1440
Ga 0.1812 0.1812 0.8885
Ga 0.4996 0.4996 0.1230
Ga 0.5004 0.5004 0.8770
Ga 0.8188 0.8188 0.1115
Ga 0.8346 0.8346 0.8560
Ge 0.3941 0.3941 0.4505
Ge 0.6059 0.6059 0.5495

Largest 10 diffraction maxima, by angle, 5 to 70 degrees two-theta:
| two_theta | d [Å] | I (rel.) |
| --- | --- | --- |
| 9.0 | 9.820 | 66 |
| 30.2 | 2.957 | 21 |
| 32.0 | 2.798 | 29 |
| 34.8 | 2.579 | 33 |
| 35.4 | 2.533 | 18 |
| 35.7 | 2.515 | 100 |
| 36.6 | 2.455 | 35 |
| 38.6 | 2.332 | 22 |
| 39.2 | 2.299 | 70 |
| 48.3 | 1.883 | 32 |